Simulated powder diffractogram of NdUBiO6 for Cu Kα X-rays, from a crystal structure in Alexandria, relaxed with GGA-PBE.
Neutral-atom scattering factors, no anomalous dispersion.

Crystal structure
Cell: 5.986 5.986 9.386 Å, 90.00 90.00 120.00°
Sites, in units of the cell vectors:
1 Nd 0.333 0.667 0.250
2 Nd 0.667 0.333 0.750
3 U 0.333 0.667 0.750
4 U 0.667 0.333 0.250
5 Bi 0.000 0.000 0.000
6 Bi 0.000 0.000 0.500
7 O 0.035 0.365 0.634
8 O 0.035 0.670 0.866
9 O 0.330 0.365 0.866
10 O 0.330 0.965 0.634
11 O 0.365 0.035 0.134
12 O 0.365 0.330 0.366
13 O 0.635 0.670 0.634
14 O 0.635 0.965 0.866
15 O 0.670 0.035 0.366
16 O 0.670 0.635 0.134
17 O 0.965 0.330 0.134
18 O 0.965 0.635 0.366

Top 8 peaks for 2θ from 10° to 90°, in order of falling intensity:
index  Position (°2θ)  I_rel
1 0 2  25.60  100
1 1 0  29.85  62
1 1 4  49.35  43
2 1 2  50.47  33
2 0 2  39.72  32
3 0 0  52.99  19
2 2 0  61.99  17
4 -1 2  68.22  14



Simulated powder diffractogram of K2U2O7 for Cu Kα X-rays, from a crystal structure in Alexandria, relaxed with GGA-PBE.
Neutral-atom scattering factors, no anomalous dispersion.

Crystal structure
Cell: 6.989 4.050 7.162 Å, 90.00 108.92 90.00°
Sites, in units of the cell vectors:
1 K 0.000 0.000 0.000
2 K 0.495 0.500 0.986
3 U 0.518 0.000 0.495
4 U 0.985 0.500 0.502
5 O 0.082 0.500 0.784
6 O 0.300 0.500 0.509
7 O 0.413 0.000 0.220
8 O 0.602 0.000 0.771
9 O 0.653 0.500 0.484
10 O 0.883 0.000 0.510
11 O 0.902 0.500 0.221

Top 8 peaks for 2θ from 10° to 90°, in order of falling intensity:
index  Position (°2θ)  I_rel
0 0 1  13.07  100
2 0 0  26.94  99
1 1 0  25.82  60
1 1 1  31.02  50
0 0 2  26.31  33
2 0 2  44.04  24
3 1 -1  44.89  22
0 2 2  52.71  19



Repeat the first record exactly.
Simulated powder diffractogram of NdUBiO6 for Cu Kα X-rays, from a crystal structure in Alexandria, relaxed with GGA-PBE.
Neutral-atom scattering factors, no anomalous dispersion.

Crystal structure
Cell: 5.986 5.986 9.386 Å, 90.00 90.00 120.00°
Sites, in units of the cell vectors:
1 Nd 0.333 0.667 0.250
2 Nd 0.667 0.333 0.750
3 U 0.333 0.667 0.750
4 U 0.667 0.333 0.250
5 Bi 0.000 0.000 0.000
6 Bi 0.000 0.000 0.500
7 O 0.035 0.365 0.634
8 O 0.035 0.670 0.866
9 O 0.330 0.365 0.866
10 O 0.330 0.965 0.634
11 O 0.365 0.035 0.134
12 O 0.365 0.330 0.366
13 O 0.635 0.670 0.634
14 O 0.635 0.965 0.866
15 O 0.670 0.035 0.366
16 O 0.670 0.635 0.134
17 O 0.965 0.330 0.134
18 O 0.965 0.635 0.366

Top 8 peaks for 2θ from 10° to 90°, in order of falling intensity:
index  Position (°2θ)  I_rel
1 0 2  25.60  100
1 1 0  29.85  62
1 1 4  49.35  43
2 1 2  50.47  33
2 0 2  39.72  32
3 0 0  52.99  19
2 2 0  61.99  17
4 -1 2  68.22  14



- Number 2 is which compound?
  K2U2O7